[1]
# Si13Rh20
Calculated powder diffraction line list, copper Kα. Input: a structure optimized by DFT (GGA-PBE).
Intensities are scaled so that the largest is 100.

Largest 10 diffraction maxima, low angle first, 10 to 90 degrees two-theta:
| two_theta | intensity | (hkl) |
| --- | --- | --- |
| 26.0 | 30 | 1 0 1 |
| 37.7 | 11 | 3 2 0 |
| 38.9 | 21 | 4 -2 1 |
| 39.8 | 55 | 4 1 0 |
| 39.9 | 100 | 4 -3 1 |
| 42.8 | 30 | 4 0 1 |
| 45.5 | 19 | 3 2 1 |
| 50.2 | 24 | 0 0 2 |
| 65.9 | 22 | 4 1 2 |
| 80.1 | 26 | 9 -7 1 |

Structure:
```
data_Si13Rh20
_chemical_formula_sum 'Si13 Rh20'
_cell_length_a 11.9986
_cell_length_b 11.9986
_cell_length_c 3.6340
_cell_angle_alpha 90.00
_cell_angle_beta 90.00
_cell_angle_gamma 120.00
_symmetry_space_group_name_H-M 'P -3'
_symmetry_Int_Tables_number 147
_symmetry_space_group_name_Hall '-P 3'
loop_
_atom_site_label
_atom_site_fract_x
_atom_site_fract_y
_atom_site_fract_z
Si1 0.0000 0.0000 0.0000
Si2 0.1074 0.7691 0.2477
Si3 0.1656 0.5497 0.2501
Rh1 0.0040 0.8160 0.7531
Rh2 0.0711 0.6097 0.7491
Rh3 0.1287 0.3999 0.7476
Rh4 0.3333 0.6667 0.7512
```

[2]
# Si2Rh3
Calculated powder diffraction line list, copper Kα. Input: a structure optimized by DFT (GGA-PBE).
Intensities are scaled so that the largest is 100.

Largest 10 diffraction maxima, low angle first, 10 to 90 degrees two-theta:
| two_theta | intensity | (hkl) |
| --- | --- | --- |
| 31.2 | 100 | 1 0 1 |
| 44.0 | 75 | 0 1 2 |
| 45.4 | 71 | 1 1 0 |
| 56.1 | 19 | 0 2 1 |
| 65.0 | 23 | 2 0 2 |
| 72.8 | 17 | 1 1 3 |
| 74.9 | 15 | 2 1 1 |
| 79.8 | 12 | 1 0 4 |
| 82.8 | 23 | 1 2 2 |
| 83.8 | 12 | 3 0 0 |

Structure:
```
data_Si2Rh3
_chemical_formula_sum 'Si2 Rh3'
_cell_length_a 3.9988
_cell_length_b 3.9988
_cell_length_c 5.1258
_cell_angle_alpha 90.00
_cell_angle_beta 90.00
_cell_angle_gamma 120.00
_symmetry_space_group_name_H-M 'P -3 m 1'
_symmetry_Int_Tables_number 164
_symmetry_space_group_name_Hall '-P 3 2"'
loop_
_atom_site_label
_atom_site_fract_x
_atom_site_fract_y
_atom_site_fract_z
Si1 0.3333 0.6667 0.1998
Rh1 0.0000 0.0000 0.0000
Rh2 0.3333 0.6667 0.6732
```

[3]
# SiRh
Calculated powder diffraction line list, copper Kα. Input: a structure optimized by DFT (GGA-PBE).
Intensities are scaled so that the largest is 100.

Largest 10 diffraction maxima, low angle first, 10 to 90 degrees two-theta:
| two_theta | intensity | (hkl) |
| --- | --- | --- |
| 26.1 | 30 | 0 1 1 |
| 28.8 | 75 | 1 1 0 |
| 32.5 | 61 | 1 0 -2 |
| 38.5 | 48 | 1 1 1 |
| 40.5 | 89 | 0 1 2 |
| 42.7 | 37 | 2 0 -2 |
| 43.2 | 47 | 2 0 0 |
| 44.8 | 100 | 1 2 -1 |
| 47.3 | 28 | 2 1 -2 |
| 70.5 | 30 | 1 3 1 |

Structure:
```
data_SiRh
_chemical_formula_sum 'Si4 Rh4'
_cell_length_a 4.622
_cell_length_b 4.603
_cell_length_c 5.627
_cell_angle_alpha 90.00
_cell_angle_beta 115.14
_cell_angle_gamma 90.00
_symmetry_space_group_name_H-M 'P 1 21/c 1'
_symmetry_Int_Tables_number 14
_symmetry_space_group_name_Hall '-P 2ybc'
loop_
_atom_site_label
_atom_site_fract_x
_atom_site_fract_y
_atom_site_fract_z
Si1 0.213 0.147 0.442
Rh1 0.300 0.644 0.619
```

[4]
# SiRh
Calculated powder diffraction line list, copper Kα. Input: a structure optimized by DFT (GGA-PBE).
Intensities are scaled so that the largest is 100.

Largest 6 diffraction maxima, low angle first, 10 to 90 degrees two-theta:
| two_theta | intensity | (hkl) |
| --- | --- | --- |
| 30.0 | 44 | 1 0 0 |
| 42.9 | 100 | 1 1 0 |
| 53.2 | 12 | 1 1 1 |
| 62.2 | 16 | 2 0 0 |
| 70.6 | 15 | 2 1 0 |
| 78.5 | 33 | 2 1 1 |

Structure:
```
data_SiRh
_chemical_formula_sum 'Si1 Rh1'
_cell_length_a 2.983
_cell_length_b 2.983
_cell_length_c 2.983
_cell_angle_alpha 90.00
_cell_angle_beta 90.00
_cell_angle_gamma 90.00
_symmetry_space_group_name_H-M 'P m -3 m'
_symmetry_Int_Tables_number 221
_symmetry_space_group_name_Hall '-P 4 2 3'
loop_
_atom_site_label
_atom_site_fract_x
_atom_site_fract_y
_atom_site_fract_z
Si1 0.000 0.000 0.000
Rh1 0.500 0.500 0.500
```

[5]
# SiRh
Calculated powder diffraction line list, copper Kα. Input: a structure optimized by DFT (GGA-PBE).
Intensities are scaled so that the largest is 100.

Largest 10 diffraction maxima, low angle first, 10 to 90 degrees two-theta:
| two_theta | intensity | (hkl) |
| --- | --- | --- |
| 26.7 | 39 | 1 1 0 |
| 32.8 | 26 | 1 1 1 |
| 38.1 | 12 | 2 0 0 |
| 42.8 | 100 | 2 1 0 |
| 47.1 | 43 | 2 1 1 |
| 58.6 | 9 | 2 2 1 |
| 62.1 | 10 | 3 0 1 |
| 65.5 | 9 | 3 1 1 |
| 72.0 | 10 | 3 2 0 |
| 75.2 | 31 | 3 1 2 |

Structure:
```
data_SiRh
_chemical_formula_sum 'Si4 Rh4'
_cell_length_a 4.729
_cell_length_b 4.729
_cell_length_c 4.729
_cell_angle_alpha 90.00
_cell_angle_beta 90.00
_cell_angle_gamma 90.00
_symmetry_space_group_name_H-M 'P 21 3'
_symmetry_Int_Tables_number 198
_symmetry_space_group_name_Hall 'P 2ac 2ab 3'
loop_
_atom_site_label
_atom_site_fract_x
_atom_site_fract_y
_atom_site_fract_z
Si1 0.158 0.342 0.658
Rh1 0.152 0.152 0.152
```

[6]
# SiRh
Calculated powder diffraction line list, copper Kα. Input: a structure optimized by DFT (GGA-PBE).
Intensities are scaled so that the largest is 100.

Largest 10 diffraction maxima, low angle first, 10 to 90 degrees two-theta:
| two_theta | intensity | (hkl) |
| --- | --- | --- |
| 27.7 | 26 | 0 0 2 |
| 32.0 | 100 | 0 1 1 |
| 42.8 | 38 | 2 0 2 |
| 43.6 | 33 | 1 1 2 |
| 45.3 | 24 | 1 0 3 |
| 45.8 | 70 | 2 1 1 |
| 51.8 | 17 | 0 1 3 |
| 67.6 | 14 | 1 1 4 |
| 76.0 | 27 | 2 2 2 |
| 85.6 | 15 | 3 1 4 |

Structure:
```
data_SiRh
_chemical_formula_sum 'Si4 Rh4'
_cell_length_a 5.595
_cell_length_b 3.111
_cell_length_c 6.438
_cell_angle_alpha 90.00
_cell_angle_beta 90.00
_cell_angle_gamma 90.00
_symmetry_space_group_name_H-M 'P n m a'
_symmetry_Int_Tables_number 62
_symmetry_space_group_name_Hall '-P 2ac 2n'
loop_
_atom_site_label
_atom_site_fract_x
_atom_site_fract_y
_atom_site_fract_z
Si1 0.185 0.250 0.056
Rh1 0.003 0.250 0.703
```

[7]
# SmSi2Rh3
Calculated powder diffraction line list, copper Kα. Input: a structure optimized by DFT (GGA-PBE).
Intensities are scaled so that the largest is 100.

Largest 10 diffraction maxima, low angle first, 10 to 90 degrees two-theta:
| two_theta | intensity | (hkl) |
| --- | --- | --- |
| 30.5 | 92 | 1 0 1 |
| 37.3 | 100 | 2 0 0 |
| 40.6 | 80 | 1 1 1 |
| 44.9 | 23 | 2 0 1 |
| 49.4 | 21 | 0 0 2 |
| 56.3 | 32 | 2 1 1 |
| 63.1 | 21 | 3 0 1 |
| 63.5 | 41 | 2 0 2 |
| 67.2 | 25 | 2 2 0 |
| 87.9 | 24 | 2 2 2 |

Structure:
```
data_SmSi2Rh3
_chemical_formula_sum 'Sm1 Si2 Rh3'
_cell_length_a 5.5691
_cell_length_b 5.5691
_cell_length_c 3.6866
_cell_angle_alpha 90.00
_cell_angle_beta 90.00
_cell_angle_gamma 120.00
_symmetry_space_group_name_H-M 'P 6/m m m'
_symmetry_Int_Tables_number 191
_symmetry_space_group_name_Hall '-P 6 2'
loop_
_atom_site_label
_atom_site_fract_x
_atom_site_fract_y
_atom_site_fract_z
Sm1 0.0000 0.0000 0.0000
Si1 0.3333 0.6667 0.0000
Rh1 0.0000 0.5000 0.5000
```

[8]
# SmSi2Rh
Calculated powder diffraction line list, copper Kα. Input: a structure optimized by DFT (GGA-PBE).
Intensities are scaled so that the largest is 100.

Largest 10 diffraction maxima, low angle first, 10 to 90 degrees two-theta:
| two_theta | intensity | (hkl) |
| --- | --- | --- |
| 21.3 | 16 | 0 4 0 |
| 30.2 | 30 | 0 4 1 |
| 30.5 | 66 | 1 1 1 |
| 34.2 | 100 | 1 5 0 |
| 38.8 | 21 | 0 6 1 |
| 42.9 | 23 | 2 0 0 |
| 43.1 | 23 | 0 0 2 |
| 54.0 | 13 | 1 9 0 |
| 56.2 | 25 | 1 5 2 |
| 62.5 | 15 | 2 0 2 |

Structure:
```
data_SmSi2Rh
_chemical_formula_sum 'Sm4 Si8 Rh4'
_cell_length_a 4.213
_cell_length_b 16.712
_cell_length_c 4.197
_cell_angle_alpha 90.00
_cell_angle_beta 90.00
_cell_angle_gamma 90.00
_symmetry_space_group_name_H-M 'C m c m'
_symmetry_Int_Tables_number 63
_symmetry_space_group_name_Hall '-C 2c 2'
loop_
_atom_site_label
_atom_site_fract_x
_atom_site_fract_y
_atom_site_fract_z
Sm1 0.000 0.104 0.250
Si1 0.000 0.250 0.750
Si2 0.000 0.462 0.250
Rh1 0.000 0.321 0.250
```